# 1
# Co15Te
Computed powder X-ray diffraction pattern, Cu Kα X-rays. Input: a GGA-PBE-relaxed structure.
Peak positions follow from Bragg's law for the DFT cell and can differ from measured ones.

Main lines, sorted by position (2θ from 10° to 90°):
11.0°, rel. 18
42.7°, rel. 55
44.1°, rel. 93
44.3°, rel. 51
45.7°, rel. 88
51.1°, rel. 100
52.2°, rel. 16
54.7°, rel. 16
76.1°, rel. 19
78.1°, rel. 21

Crystal structure
abc: 4.931 2.595 40.274
angles: 90.00 90.00 90.00
Space group Pm (No. 6)
One atom of each set of equivalent atoms:
Co (0.000, 0.000, 0.000)
Co (0.000, 0.000, 0.080)
Co (0.000, 0.000, 0.166)
Co (0.000, 0.000, 0.250)
Co (0.000, 0.000, 0.335)
Co (0.000, 0.000, 0.504)
Co (0.005, 0.000, 0.589)
Co (0.249, 0.500, 0.208)
Co (0.250, 0.500, 0.124)
Co (0.250, 0.500, 0.293)
Co (0.250, 0.500, 0.378)
Co (0.250, 0.500, 0.462)
Co (0.250, 0.500, 0.545)
Co (0.258, 0.500, 0.040)
Co (0.495, 0.000, 0.589)
Co (0.500, 0.000, 0.082)
Co (0.500, 0.000, 0.166)
Co (0.500, 0.000, 0.250)
Co (0.500, 0.000, 0.335)
Co (0.500, 0.000, 0.504)
Co (0.501, 0.000, 0.420)
Co (0.742, 0.500, 0.040)
Co (0.750, 0.500, 0.124)
Co (0.750, 0.500, 0.293)
Co (0.750, 0.500, 0.378)
Co (0.750, 0.500, 0.462)
Co (0.750, 0.500, 0.548)
Co (0.750, 0.500, 0.628)
Co (0.751, 0.500, 0.208)
Co (0.999, 0.000, 0.420)
Te (0.250, 0.500, 0.649)
Te (0.500, 0.000, 0.979)

=====

# 2
# Pm2Pr2O5
Computed powder X-ray diffraction pattern, Cu Kα X-rays. Input: a GGA-PBE-relaxed structure.
Peak positions follow from Bragg's law for the DFT cell and can differ from measured ones.

Main lines, sorted by position (2θ from 10° to 90°):
27.4°, rel. 70
31.2°, rel. 100
39.2°, rel. 43
51.0°, rel. 51
56.6°, rel. 14
57.8°, rel. 11
64.1°, rel. 13
65.2°, rel. 11
66.1°, rel. 12
79.6°, rel. 14

Crystal structure
abc: 4.596 4.596 7.321
angles: 90.00 90.00 90.00
Space group P4/mmm (No. 123)
One atom of each set of equivalent atoms:
Pm (0.000, 0.000, 0.000)
Pm (0.000, 0.000, 0.500)
Pr (0.500, 0.500, 0.209)
O (0.000, 0.500, 0.218)
O (0.500, 0.500, 0.500)

=====

# 3
# Pr2Sm2CBr2Cl3
Computed powder X-ray diffraction pattern, Cu Kα X-rays. Input: a GGA-PBE-relaxed structure.
Peak positions follow from Bragg's law for the DFT cell and can differ from measured ones.

Main lines, sorted by position (2θ from 10° to 90°):
10.2°, rel. 25
11.3°, rel. 42
13.3°, rel. 20
28.6°, rel. 24
31.0°, rel. 51
31.4°, rel. 33
32.0°, rel. 100
45.1°, rel. 30
45.3°, rel. 31
46.9°, rel. 19

Crystal structure
abc: 17.804 3.872 8.069
angles: 90.00 103.45 90.00
Space group C2/m (No. 12)
One atom of each set of equivalent atoms:
Pr (0.147, 0.000, 0.080)
Sm (0.003, 0.500, 0.788)
C (0.000, 0.000, 0.000)
Br (0.165, 0.500, 0.364)
Cl (0.000, 0.000, 0.500)
Cl (0.168, 0.500, 0.829)

=====

# 4
# TbAlGa4Ir
Computed powder X-ray diffraction pattern, Cu Kα X-rays. Input: a GGA-PBE-relaxed structure.
Peak positions follow from Bragg's law for the DFT cell and can differ from measured ones.

Main lines, sorted by position (2θ from 10° to 90°):
20.4°, rel. 70
33.3°, rel. 42
39.4°, rel. 100
41.5°, rel. 50
46.7°, rel. 17
49.7°, rel. 11
54.2°, rel. 21
60.1°, rel. 17
69.9°, rel. 10
74.3°, rel. 31

Crystal structure
abc: 4.352 4.352 6.852
angles: 90.00 90.00 90.00
Space group P4/mmm (No. 123)
One atom of each set of equivalent atoms:
Tb (0.000, 0.000, 0.000)
Al (0.500, 0.500, 0.000)
Ga (0.000, 0.500, 0.301)
Ir (0.000, 0.000, 0.500)

=====

# 5
# GdY2Sn3Pb4
Computed powder X-ray diffraction pattern, Cu Kα X-rays. Input: a GGA-PBE-relaxed structure.
Peak positions follow from Bragg's law for the DFT cell and can differ from measured ones.

Main lines, sorted by position (2θ from 10° to 90°):
32.6°, rel. 100
33.4°, rel. 21
39.7°, rel. 15
40.1°, rel. 15
52.8°, rel. 12
53.1°, rel. 11
59.2°, rel. 13
67.7°, rel. 13
68.2°, rel. 12
68.4°, rel. 11

Crystal structure
abc: 4.536 26.842 4.497
angles: 90.00 90.00 90.00
Space group Cmmm (No. 65)
One atom of each set of equivalent atoms:
Gd (0.000, 0.000, 0.000)
Y (0.000, 0.311, 0.500)
Sn (0.000, 0.404, 0.000)
Sn (0.000, 0.500, 0.500)
Pb (0.000, 0.096, 0.500)
Pb (0.000, 0.209, 0.000)

=====

# 6
# Co4Re
Computed powder X-ray diffraction pattern, Cu Kα X-rays. Input: a GGA-PBE-relaxed structure.
Peak positions follow from Bragg's law for the DFT cell and can differ from measured ones.

Main lines, sorted by position (2θ from 10° to 90°):
14.3°, rel. 60
38.0°, rel. 18
39.6°, rel. 27
42.6°, rel. 41
43.9°, rel. 24
44.9°, rel. 30
46.1°, rel. 49
47.2°, rel. 100
48.4°, rel. 38
77.3°, rel. 23

Crystal structure
abc: 8.756 8.756 4.554
angles: 90.00 90.00 90.00
Space group P4_2/mnm (No. 136)
One atom of each set of equivalent atoms:
Co (0.041, 0.372, 0.000)
Co (0.068, 0.270, 0.500)
Co (0.187, 0.813, 0.249)
Re (0.000, 0.000, 0.500)
Re (0.106, 0.106, 0.000)

=====

# 7
# LiAlFeH6
Computed powder X-ray diffraction pattern, Cu Kα X-rays. Input: a GGA-PBE-relaxed structure.
Peak positions follow from Bragg's law for the DFT cell and can differ from measured ones.

Main lines, sorted by position (2θ from 10° to 90°):
20.9°, rel. 82
26.7°, rel. 100
40.5°, rel. 36
42.6°, rel. 11
43.2°, rel. 39
48.5°, rel. 46
51.5°, rel. 13
60.7°, rel. 10
62.3°, rel. 24
69.5°, rel. 10

Crystal structure
abc: 4.1871 4.1871 8.4823
angles: 90.00 90.00 120.00
Space group P6_3 (No. 173)
One atom of each set of equivalent atoms:
Li (0.3333, 0.6667, 0.0000)
Al (0.0000, 0.0000, 0.2883)
Fe (0.3333, 0.6667, 0.3047)
H (0.0097, 0.6066, 0.1926)
H (0.0942, 0.3653, 0.4298)

=====

# 8
# DyYNi2B2As2
Computed powder X-ray diffraction pattern, Cu Kα X-rays. Input: a GGA-PBE-relaxed structure.
Peak positions follow from Bragg's law for the DFT cell and can differ from measured ones.

Main lines, sorted by position (2θ from 10° to 90°):
25.1°, rel. 22
32.1°, rel. 41
32.8°, rel. 35
33.9°, rel. 52
39.1°, rel. 100
40.1°, rel. 40
46.0°, rel. 53
57.6°, rel. 27
62.7°, rel. 21
80.5°, rel. 23

Crystal structure
abc: 3.945 3.945 8.196
angles: 90.00 90.00 90.00
Space group P4mm (No. 99)
One atom of each set of equivalent atoms:
Dy (0.000, 0.000, 0.000)
Y (0.500, 0.500, 0.454)
Ni (0.000, 0.500, 0.728)
B (0.000, 0.000, 0.642)
B (0.500, 0.500, 0.815)
As (0.000, 0.000, 0.383)
As (0.500, 0.500, 0.073)

=====

# 9
# GdDy2Y5
Computed powder X-ray diffraction pattern, Cu Kα X-rays. Input: a GGA-PBE-relaxed structure.
Peak positions follow from Bragg's law for the DFT cell and can differ from measured ones.

Main lines, sorted by position (2θ from 10° to 90°):
28.3°, rel. 24
31.6°, rel. 24
32.5°, rel. 100
43.0°, rel. 16
50.2°, rel. 14
56.9°, rel. 20
60.5°, rel. 22
61.1°, rel. 16
82.9°, rel. 13
87.3°, rel. 8

Crystal structure
abc: 5.658 7.272 12.603
angles: 90.00 90.00 90.00
Space group Amm2 (No. 38)
One atom of each set of equivalent atoms:
Gd (0.000, 0.000, 0.000)
Dy (0.000, 0.000, 0.501)
Dy (0.500, 0.000, 0.834)
Y (0.000, 0.249, 0.751)
Y (0.500, 0.000, 0.334)
Y (0.500, 0.250, 0.084)

=====

# 10
# LiNb
Computed powder X-ray diffraction pattern, Cu Kα X-rays. Input: a GGA-PBE-relaxed structure.
Peak positions follow from Bragg's law for the DFT cell and can differ from measured ones.

Main lines, sorted by position (2θ from 10° to 90°):
17.0°, rel. 100
34.4°, rel. 21
37.6°, rel. 42
41.5°, rel. 71
51.8°, rel. 33
66.5°, rel. 17
67.8°, rel. 8
70.5°, rel. 12
78.3°, rel. 11
82.7°, rel. 9

Crystal structure
abc: 2.7644 2.7644 5.2146
angles: 90.00 90.00 120.00
Space group P-6m2 (No. 187)
One atom of each set of equivalent atoms:
Li (0.0000, 0.0000, 0.0000)
Nb (0.6667, 0.3333, 0.5000)

=====

# 11
# Cu6GeWS8
Computed powder X-ray diffraction pattern, Cu Kα X-rays. Input: a GGA-PBE-relaxed structure.
Peak positions follow from Bragg's law for the DFT cell and can differ from measured ones.

Main lines, sorted by position (2θ from 10° to 90°):
14.2°, rel. 18
15.3°, rel. 100
27.6°, rel. 24
28.2°, rel. 36
30.8°, rel. 30
37.0°, rel. 26
40.0°, rel. 17
45.8°, rel. 27
48.1°, rel. 55
52.2°, rel. 34

Crystal structure
abc: 7.5658 7.5658 12.4441
angles: 90.00 90.00 120.00
Space group P6_3mc (No. 186)
One atom of each set of equivalent atoms:
Cu (0.0071, 0.5036, 0.0000)
Cu (0.1609, 0.3219, 0.7511)
Ge (0.0000, 0.0000, 0.4978)
W (0.3333, 0.6667, 0.6276)
S (0.0000, 0.0000, 0.1804)
S (0.0061, 0.5030, 0.6875)
S (0.1649, 0.3299, 0.9358)
S (0.3333, 0.6667, 0.4455)

=====

# 12
# PrHo2Co2B2N3
Computed powder X-ray diffraction pattern, Cu Kα X-rays. Input: a GGA-PBE-relaxed structure.
Peak positions follow from Bragg's law for the DFT cell and can differ from measured ones.

Main lines, sorted by position (2θ from 10° to 90°):
28.7°, rel. 100
33.8°, rel. 66
35.7°, rel. 48
36.1°, rel. 39
37.2°, rel. 30
40.5°, rel. 41
45.4°, rel. 25
52.0°, rel. 35
60.4°, rel. 27
64.6°, rel. 32

Crystal structure
abc: 3.517 3.517 20.142
angles: 90.00 90.00 90.00
Space group I4/mmm (No. 139)
One atom of each set of equivalent atoms:
Pr (0.000, 0.000, 0.000)
Ho (0.000, 0.000, 0.373)
Co (0.000, 0.500, 0.250)
B (0.000, 0.000, 0.196)
N (0.000, 0.000, 0.122)
N (0.000, 0.000, 0.500)